# 1
Computed XRD peak list
Compound: Tb5Sn4
Radiation: a wavelength of 1.5418 Å
Structure: a DFT-relaxed cell (GGA-PBE, the Materials Project)
Intensities are scaled so that the largest is 100.

Structure:
Lattice parameters (Å, degrees): 8.0815 15.5818 8.1960 90.00 90.00 90.00
Space group Pnma (No. 62)
Inequivalent atoms, fractional coordinates:
1 Tb 0.0204 0.0977 0.1809 [8 per cell]
2 Tb 0.1322 0.6213 0.3353 [8 per cell]
3 Tb 0.1974 0.2500 0.5023 [4 per cell]
4 Sn 0.0654 0.2500 0.8808 [4 per cell]
5 Sn 0.1728 0.7500 0.6443 [4 per cell]
6 Sn 0.2085 0.0423 0.5327 [8 per cell]

Peak list (8 most intense, 2θ from 5° to 70°, in order of rising 2θ)
2θ (°)  intensity  h k l
29.89  98  1 3 2
30.07  57  2 3 1
31.08  33  2 0 2
31.67  57  0 4 2
32.68  30  1 5 1
33.78  53  2 4 1
34.54  29  0 6 0
35.11  100  3 0 1

# 2
Computed XRD peak list
Compound: NaH4CSNO2
Radiation: a wavelength of 1.5418 Å
Structure: a DFT-relaxed cell (GGA-PBE, the Materials Project)
Intensities are scaled so that the largest is 100.

Structure:
Lattice parameters (Å, degrees): 12.1260 13.8882 6.4304 90.00 109.47 90.00
Space group C2/c (No. 15)
Inequivalent atoms, fractional coordinates:
1 Na 0.0000 0.0659 0.2500 [4 per cell]
2 Na 0.0000 0.1993 0.7500 [4 per cell]
3 H 0.1161 0.2545 0.1889 [8 per cell]
4 H 0.1223 0.3819 0.8433 [8 per cell]
5 H 0.1270 0.3682 0.6045 [8 per cell]
6 H 0.1960 0.1713 0.1648 [8 per cell]
7 C 0.2239 0.0742 0.7051 [8 per cell]
8 S 0.1348 0.4177 0.2426 [8 per cell]
9 N 0.1216 0.0666 0.6698 [8 per cell]
10 O 0.1129 0.1867 0.1405 [8 per cell]
11 O 0.1366 0.3336 0.7433 [8 per cell]

Peak list (8 most intense, 2θ from 5° to 70°, in order of rising 2θ)
2θ (°)  intensity  h k l
23.88  53  1 3 -1
24.22  33  3 1 0
29.47  100  0 0 2
29.65  68  0 4 1
31.18  63  2 4 -1
31.30  22  4 0 0
39.71  59  4 4 -1
47.30  48  4 4 1